# 1
This entry pairs a crystal structure of Ac2Tl3In with its simulated X-ray powder pattern. Radiation: Cu Kα (λ = 1.5418 Å). Structure: a PBE-relaxed structure.
Intensities are scaled so that the largest is 100.

```
data_Ac2Tl3In
_cell_length_a 10.766
_cell_length_b 10.101
_cell_length_c 6.604
_cell_angle_alpha 77.13
_cell_angle_beta 66.15
_cell_angle_gamma 36.73
_space_group_name_H-M_alt 'P 1'
_space_group_IT_number 1
loop_
_space_group_symop_operation_xyz
'x,y,z'
loop_
_atom_site_label
_atom_site_fract_x
_atom_site_fract_y
_atom_site_fract_z
Ac1 0.248 0.752 0.752
Ac2 0.250 0.250 0.250
Ac3 0.750 0.750 0.750
Ac4 0.752 0.248 0.248
Tl1 0.168 0.168 0.832
Tl2 0.169 0.663 0.337
Tl3 0.337 0.831 0.169
Tl4 0.663 0.169 0.831
Tl5 0.831 0.337 0.663
Tl6 0.832 0.832 0.168
In1 0.334 0.334 0.666
In2 0.666 0.666 0.334
```

Largest 10 diffraction maxima, sorted by position, 10° ≤ 2θ ≤ 90°:
d/Å, Position (°2θ), I/Imax
2.969, 30.10, 100
2.692, 33.29, 54
2.681, 33.42, 27
1.997, 45.43, 11
1.991, 45.56, 22
1.928, 47.15, 10
1.602, 57.51, 22
1.598, 57.70, 11
1.566, 58.96, 32
1.550, 59.66, 10


# 2
This entry pairs a crystal structure of Ac2Tl3In with its simulated X-ray powder pattern. Radiation: Cu Kα (λ = 1.5418 Å). Structure: a PBE-relaxed structure.
Intensities are scaled so that the largest is 100.

```
data_Ac2Tl3In
_cell_length_a 3.891
_cell_length_b 5.314
_cell_length_c 9.338
_cell_angle_alpha 90.00
_cell_angle_beta 90.00
_cell_angle_gamma 90.00
_space_group_name_H-M_alt 'P 1'
_space_group_IT_number 1
loop_
_space_group_symop_operation_xyz
'x,y,z'
loop_
_atom_site_label
_atom_site_fract_x
_atom_site_fract_y
_atom_site_fract_z
Ac1 0.000 0.000 0.000
Ac2 0.000 0.500 0.498
Tl1 0.500 0.000 0.661
Tl2 0.500 0.500 0.169
Tl3 0.500 0.500 0.834
In1 0.500 0.000 0.331
```

Largest 10 diffraction maxima, sorted by position, 10° ≤ 2θ ≤ 90°:
d/Å, Position (°2θ), I/Imax
2.989, 29.89, 50
2.976, 30.03, 100
2.686, 33.36, 79
2.657, 33.73, 38
2.002, 45.30, 17
1.986, 45.68, 32
1.605, 57.41, 16
1.599, 57.65, 16
1.589, 58.06, 16
1.576, 58.58, 32


# 3
This entry pairs a crystal structure of Ac8TlIn5 with its simulated X-ray powder pattern. Radiation: Cu Kα (λ = 1.5418 Å). Structure: a PBE-relaxed structure.
Intensities are scaled so that the largest is 100.

```
data_Ac8TlIn5
_cell_length_a 8.828
_cell_length_b 8.828
_cell_length_c 8.828
_cell_angle_alpha 109.54
_cell_angle_beta 109.54
_cell_angle_gamma 109.34
_space_group_name_H-M_alt 'P 1'
_space_group_IT_number 1
loop_
_space_group_symop_operation_xyz
'x,y,z'
loop_
_atom_site_label
_atom_site_fract_x
_atom_site_fract_y
_atom_site_fract_z
Ac1 0.022 0.124 0.750
Ac2 0.225 0.475 0.600
Ac3 0.374 0.273 0.250
Ac4 0.375 0.775 0.250
Ac5 0.525 0.125 0.750
Ac6 0.727 0.978 0.102
Ac7 0.875 0.625 0.400
Ac8 0.876 0.626 0.898
Tl1 0.500 0.500 0.000
In1 0.000 0.376 0.126
In2 0.125 0.000 0.376
In3 0.251 0.875 0.874
In4 0.624 0.749 0.624
In5 0.750 0.250 0.500
```

Largest 10 diffraction maxima, sorted by position, 10° ≤ 2θ ≤ 90°:
d/Å, Position (°2θ), I/Imax
4.161, 21.35, 13
3.224, 27.67, 100
2.724, 32.88, 76
2.081, 43.49, 25
2.000, 45.34, 18
1.998, 45.40, 11
1.656, 55.51, 9
1.653, 55.61, 18
1.611, 57.19, 10
1.573, 58.70, 18


# 4
This entry pairs a crystal structure of Ac6TlIn with its simulated X-ray powder pattern. Radiation: Cu Kα (λ = 1.5418 Å). Structure: a PBE-relaxed structure.
Intensities are scaled so that the largest is 100.

```
data_Ac6TlIn
_cell_length_a 10.697
_cell_length_b 10.697
_cell_length_c 10.697
_cell_angle_alpha 149.16
_cell_angle_beta 149.16
_cell_angle_gamma 44.17
_space_group_name_H-M_alt 'P 1'
_space_group_IT_number 1
loop_
_space_group_symop_operation_xyz
'x,y,z'
loop_
_atom_site_label
_atom_site_fract_x
_atom_site_fract_y
_atom_site_fract_z
Ac1 0.109 0.609 0.500
Ac2 0.250 0.250 0.000
Ac3 0.391 0.891 0.500
Ac4 0.609 0.109 0.500
Ac5 0.750 0.750 0.000
Ac6 0.891 0.391 0.500
Tl1 0.000 0.000 0.000
In1 0.500 0.500 0.000
```

Largest 10 diffraction maxima, sorted by position, 10° ≤ 2θ ≤ 90°:
d/Å, Position (°2θ), I/Imax
3.123, 28.58, 100
2.844, 31.46, 43
2.478, 36.25, 10
2.011, 45.09, 16
1.868, 48.74, 18
1.691, 54.26, 35
1.561, 59.17, 10
1.294, 73.13, 7
1.272, 74.63, 8
1.131, 85.90, 7


# 5
This entry pairs a crystal structure of Ac8Tl3In2 with its simulated X-ray powder pattern. Radiation: Cu Kα (λ = 1.5418 Å). Structure: a PBE-relaxed structure.
Intensities are scaled so that the largest is 100.

```
data_Ac8Tl3In2
_cell_length_a 9.869
_cell_length_b 9.869
_cell_length_c 5.719
_cell_angle_alpha 90.00
_cell_angle_beta 90.00
_cell_angle_gamma 109.72
_space_group_name_H-M_alt 'P 1'
_space_group_IT_number 1
loop_
_space_group_symop_operation_xyz
'x,y,z'
loop_
_atom_site_label
_atom_site_fract_x
_atom_site_fract_y
_atom_site_fract_z
Ac1 0.116 0.368 0.500
Ac2 0.123 0.877 0.000
Ac3 0.368 0.116 0.500
Ac4 0.368 0.632 0.000
Ac5 0.632 0.368 0.000
Ac6 0.632 0.884 0.500
Ac7 0.877 0.123 0.000
Ac8 0.884 0.632 0.500
Tl1 0.254 0.254 0.000
Tl2 0.500 0.500 0.500
Tl3 0.746 0.746 0.000
In1 0.251 0.749 0.500
In2 0.749 0.251 0.500
```

Largest 10 diffraction maxima, sorted by position, 10° ≤ 2θ ≤ 90°:
d/Å, Position (°2θ), I/Imax
4.655, 19.07, 8
4.032, 22.05, 18
2.853, 31.35, 100
2.840, 31.50, 20
2.016, 44.97, 22
1.649, 55.74, 24
1.645, 55.90, 8
1.642, 56.01, 15
1.426, 65.46, 10
1.276, 74.32, 10


# 6
This entry pairs a crystal structure of Ac7Tl5In with its simulated X-ray powder pattern. Radiation: Cu Kα (λ = 1.5418 Å). Structure: a PBE-relaxed structure.
Intensities are scaled so that the largest is 100.

```
data_Ac7Tl5In
_cell_length_a 9.014
_cell_length_b 9.014
_cell_length_c 9.014
_cell_angle_alpha 133.77
_cell_angle_beta 100.08
_cell_angle_gamma 97.65
_space_group_name_H-M_alt 'P 1'
_space_group_IT_number 1
loop_
_space_group_symop_operation_xyz
'x,y,z'
loop_
_atom_site_label
_atom_site_fract_x
_atom_site_fract_y
_atom_site_fract_z
Ac1 0.000 0.000 0.000
Ac2 0.302 0.620 0.682
Ac3 0.378 0.378 0.000
Ac4 0.421 0.094 0.327
Ac5 0.766 0.094 0.673
Ac6 0.845 0.345 0.500
Ac7 0.939 0.620 0.318
Tl1 0.099 0.101 0.483
Tl2 0.099 0.616 0.998
Tl3 0.353 0.853 0.500
Tl4 0.618 0.101 0.002
Tl5 0.618 0.616 0.517
In1 0.680 0.680 0.000
```

Largest 10 diffraction maxima, sorted by position, 10° ≤ 2θ ≤ 90°:
d/Å, Position (°2θ), I/Imax
3.388, 26.30, 27
3.039, 29.39, 28
3.019, 29.59, 31
2.967, 30.12, 46
2.942, 30.38, 55
2.691, 33.30, 100
2.601, 34.48, 31
1.769, 51.69, 26
1.694, 54.14, 25
1.654, 55.54, 31


# 7
This entry pairs a crystal structure of Ac10Tl3In3 with its simulated X-ray powder pattern. Radiation: Cu Kα (λ = 1.5418 Å). Structure: a PBE-relaxed structure.
Intensities are scaled so that the largest is 100.

```
data_Ac10Tl3In3
_cell_length_a 9.841
_cell_length_b 9.841
_cell_length_c 7.445
_cell_angle_alpha 90.00
_cell_angle_beta 90.00
_cell_angle_gamma 120.00
_space_group_name_H-M_alt 'P 1'
_space_group_IT_number 1
loop_
_space_group_symop_operation_xyz
'x,y,z'
loop_
_atom_site_label
_atom_site_fract_x
_atom_site_fract_y
_atom_site_fract_z
Ac1 0.000 0.242 0.000
Ac2 0.000 0.759 0.500
Ac3 0.241 0.241 0.500
Ac4 0.242 0.000 0.000
Ac5 0.333 0.667 0.251
Ac6 0.333 0.667 0.749
Ac7 0.667 0.333 0.251
Ac8 0.667 0.333 0.749
Ac9 0.758 0.758 0.000
Ac10 0.759 0.000 0.500
Tl1 0.000 0.598 0.000
Tl2 0.402 0.402 0.000
Tl3 0.598 0.000 0.000
In1 0.000 0.402 0.500
In2 0.402 0.000 0.500
In3 0.598 0.598 0.500
```

Largest 10 diffraction maxima, sorted by position, 10° ≤ 2θ ≤ 90°:
d/Å, Position (°2θ), I/Imax
3.411, 26.12, 21
3.221, 27.69, 34
2.969, 30.10, 80
2.956, 30.23, 100
2.841, 31.49, 35
2.053, 44.12, 19
1.966, 46.18, 32
1.860, 48.96, 24
1.849, 49.28, 18
1.550, 59.66, 18


# 8
This entry pairs a crystal structure of AcTm2In9 with its simulated X-ray powder pattern. Radiation: Cu Kα (λ = 1.5418 Å). Structure: a PBE-relaxed structure.
Intensities are scaled so that the largest is 100.

```
data_AcTm2In9
_cell_length_a 4.742
_cell_length_b 4.742
_cell_length_c 14.070
_cell_angle_alpha 90.00
_cell_angle_beta 90.00
_cell_angle_gamma 90.00
_space_group_name_H-M_alt 'P 1'
_space_group_IT_number 1
loop_
_space_group_symop_operation_xyz
'x,y,z'
loop_
_atom_site_label
_atom_site_fract_x
_atom_site_fract_y
_atom_site_fract_z
Ac1 0.000 0.000 0.000
Tm1 0.000 0.000 0.342
Tm2 0.000 0.000 0.658
In1 0.000 0.500 0.181
In2 0.000 0.500 0.500
In3 0.000 0.500 0.819
In4 0.500 0.000 0.181
In5 0.500 0.000 0.500
In6 0.500 0.000 0.819
In7 0.500 0.500 0.000
In8 0.500 0.500 0.338
In9 0.500 0.500 0.662
```

Largest 10 diffraction maxima, sorted by position, 10° ≤ 2θ ≤ 90°:
d/Å, Position (°2θ), I/Imax
4.742, 18.71, 3
2.728, 32.84, 100
2.371, 37.95, 35
2.345, 38.39, 15
1.676, 54.76, 12
1.667, 55.09, 21
1.428, 65.34, 27
1.417, 65.93, 10
1.364, 68.85, 11
1.185, 81.13, 4


# 9
This entry pairs a crystal structure of Ac2Tm3In4 with its simulated X-ray powder pattern. Radiation: Cu Kα (λ = 1.5418 Å). Structure: a PBE-relaxed structure.
Intensities are scaled so that the largest is 100.

```
data_Ac2Tm3In4
_cell_length_a 9.389
_cell_length_b 9.389
_cell_length_c 9.143
_cell_angle_alpha 90.00
_cell_angle_beta 90.00
_cell_angle_gamma 135.43
_space_group_name_H-M_alt 'P 1'
_space_group_IT_number 1
loop_
_space_group_symop_operation_xyz
'x,y,z'
loop_
_atom_site_label
_atom_site_fract_x
_atom_site_fract_y
_atom_site_fract_z
Ac1 0.110 0.890 0.920
Ac2 0.390 0.610 0.420
Ac3 0.610 0.390 0.580
Ac4 0.890 0.110 0.080
Tm1 0.000 0.000 0.500
Tm2 0.031 0.469 0.750
Tm3 0.469 0.031 0.250
Tm4 0.500 0.500 0.000
Tm5 0.531 0.969 0.750
Tm6 0.969 0.531 0.250
In1 0.182 0.818 0.538
In2 0.206 0.294 0.750
In3 0.294 0.206 0.250
In4 0.318 0.682 0.038
In5 0.682 0.318 0.962
In6 0.706 0.794 0.750
In7 0.794 0.706 0.250
In8 0.818 0.182 0.462
```

Largest 10 diffraction maxima, sorted by position, 10° ≤ 2θ ≤ 90°:
d/Å, Position (°2θ), I/Imax
3.204, 27.84, 26
3.099, 28.81, 47
2.955, 30.24, 87
2.876, 31.10, 49
2.809, 31.86, 100
2.762, 32.42, 40
2.754, 32.52, 26
1.916, 47.44, 25
1.808, 50.47, 28
1.780, 51.32, 19


# 10
This entry pairs a crystal structure of AcTm2In2 with its simulated X-ray powder pattern. Radiation: Cu Kα (λ = 1.5418 Å). Structure: a PBE-relaxed structure.
Intensities are scaled so that the largest is 100.

```
data_AcTm2In2
_cell_length_a 12.905
_cell_length_b 12.905
_cell_length_c 12.905
_cell_angle_alpha 156.96
_cell_angle_beta 156.96
_cell_angle_gamma 32.81
_space_group_name_H-M_alt 'P 1'
_space_group_IT_number 1
loop_
_space_group_symop_operation_xyz
'x,y,z'
loop_
_atom_site_label
_atom_site_fract_x
_atom_site_fract_y
_atom_site_fract_z
Ac1 0.125 0.125 0.000
Ac2 0.875 0.875 0.000
Tm1 0.250 0.750 0.500
Tm2 0.434 0.434 0.000
Tm3 0.566 0.566 0.000
Tm4 0.750 0.250 0.500
In1 0.000 0.500 0.500
In2 0.316 0.316 0.000
In3 0.500 0.000 0.500
In4 0.684 0.684 0.000
```

Largest 10 diffraction maxima, sorted by position, 10° ≤ 2θ ≤ 90°:
d/Å, Position (°2θ), I/Imax
3.141, 28.42, 100
2.916, 30.66, 36
2.577, 34.81, 65
2.427, 37.04, 22
2.359, 38.15, 19
1.931, 47.06, 22
1.822, 50.06, 23
1.767, 51.74, 17
1.576, 58.57, 27
1.326, 71.08, 22


# 11
This entry pairs a crystal structure of Ac2TmIn2 with its simulated X-ray powder pattern. Radiation: Cu Kα (λ = 1.5418 Å). Structure: a PBE-relaxed structure.
Intensities are scaled so that the largest is 100.

```
data_Ac2TmIn2
_cell_length_a 6.564
_cell_length_b 6.564
_cell_length_c 6.564
_cell_angle_alpha 134.88
_cell_angle_beta 115.63
_cell_angle_gamma 82.06
_space_group_name_H-M_alt 'P 1'
_space_group_IT_number 1
loop_
_space_group_symop_operation_xyz
'x,y,z'
loop_
_atom_site_label
_atom_site_fract_x
_atom_site_fract_y
_atom_site_fract_z
Ac1 0.198 0.198 0.000
Ac2 0.802 0.802 0.000
Tm1 0.500 0.000 0.500
In1 0.222 0.500 0.722
In2 0.778 0.500 0.278
```

Largest 10 diffraction maxima, sorted by position, 10° ≤ 2θ ≤ 90°:
d/Å, Position (°2θ), I/Imax
4.087, 21.75, 16
3.152, 28.31, 100
2.985, 29.93, 34
2.856, 31.32, 20
2.759, 32.45, 84
2.518, 35.65, 31
1.925, 47.22, 20
1.904, 47.76, 20
1.631, 56.43, 34
1.519, 61.00, 20


# 12
This entry pairs a crystal structure of Ac3YIn3 with its simulated X-ray powder pattern. Radiation: Cu Kα (λ = 1.5418 Å). Structure: a PBE-relaxed structure.
Intensities are scaled so that the largest is 100.

```
data_Ac3YIn3
_cell_length_a 7.959
_cell_length_b 7.959
_cell_length_c 8.355
_cell_angle_alpha 91.48
_cell_angle_beta 91.48
_cell_angle_gamma 101.43
_space_group_name_H-M_alt 'P 1'
_space_group_IT_number 1
loop_
_space_group_symop_operation_xyz
'x,y,z'
loop_
_atom_site_label
_atom_site_fract_x
_atom_site_fract_y
_atom_site_fract_z
Ac1 0.155 0.845 0.000
Ac2 0.258 0.742 0.500
Ac3 0.350 0.350 0.152
Ac4 0.650 0.650 0.848
Ac5 0.742 0.258 0.500
Ac6 0.845 0.155 0.000
Y1 0.271 0.271 0.637
Y2 0.729 0.729 0.363
In1 0.040 0.485 0.793
In2 0.063 0.063 0.337
In3 0.485 0.040 0.793
In4 0.515 0.960 0.207
In5 0.937 0.937 0.663
In6 0.960 0.515 0.207
```

Largest 10 diffraction maxima, sorted by position, 10° ≤ 2θ ≤ 90°:
d/Å, Position (°2θ), I/Imax
3.441, 25.89, 73
3.239, 27.54, 30
3.151, 28.32, 69
3.080, 28.99, 35
3.061, 29.18, 33
2.895, 30.89, 100
2.789, 32.09, 29
2.520, 35.62, 38
2.331, 38.63, 28
1.977, 45.91, 24